Rb2PuHgO6: calculated XRD peak list (Cu Kα (weighted mean of Kα1 and Kα2)), based on DFT lattice parameters and positions (PBE).
Neutral-atom scattering factors, no anomalous dispersion.

Structural model:
```
Rb2PuHgO6
1.0
4.033 -4.840 0.000
4.033 4.840 0.000
-3.954 0.000 4.866
Rb Pu Hg O
2 1 1 6
Direct
0.237 0.763 0.000
0.763 0.237 0.000
0.500 0.500 0.500
0.000 0.000 0.500
0.178 0.178 0.377
0.304 0.697 0.500
0.363 0.363 0.121
0.635 0.635 0.878
0.697 0.304 0.500
0.822 0.822 0.624
```

Principal peaks in the range 2θ from 15° to 90°, in order of rising 2θ:
- 4.840 Å, 2θ 18.33, rel. 31
- 3.432 Å, 2θ 25.96, rel. 100
- 3.130 Å, 2θ 28.52, rel. 45
- 3.098 Å, 2θ 28.82, rel. 75
- 3.080 Å, 2θ 28.99, rel. 38
- 1.902 Å, 2θ 47.81, rel. 39